For Hf6Pb2C, DFT lattice parameters and positions (PBE) gives the calculated X-ray powder pattern in this record (copper Kα).
Neutral-atom scattering factors, no anomalous dispersion.

Principal peaks in the range 2θ from 10° to 80°, by angle:
- 2θ 32.36, 2.767 Å, I = 99
- 2θ 33.86, 2.647 Å, I = 43
- 2θ 34.46, 2.602 Å, I = 49
- 2θ 35.49, 2.529 Å, I = 33
- 2θ 36.07, 2.490 Å, I = 34
- 2θ 37.64, 2.390 Å, I = 44
- 2θ 38.78, 2.322 Å, I = 100
- 2θ 39.13, 2.302 Å, I = 21
- 2θ 42.15, 2.144 Å, I = 27
- 2θ 43.45, 2.083 Å, I = 22

Structure:
Lattice parameters (Å, degrees): 5.9657 6.8922 10.8650 90.00 121.33 90.00
Sites, in units of the cell vectors:
Hf 0.1284 0.0119 0.2444
Hf 0.1284 0.4881 0.7444
Hf 0.1787 0.7038 0.0277
Hf 0.1787 0.7962 0.5277
Hf 0.3596 0.1777 0.0236
Hf 0.3596 0.3223 0.5236
Hf 0.6404 0.6777 0.4764
Hf 0.6404 0.8223 0.9764
Hf 0.8213 0.2038 0.4723
Hf 0.8213 0.2962 0.9723
Hf 0.8716 0.5119 0.2556
Hf 0.8716 0.9881 0.7556
Pb 0.3399 0.1004 0.7470
Pb 0.3399 0.3996 0.2470
Pb 0.6601 0.6004 0.7530
Pb 0.6601 0.8996 0.2530
C 0.0000 0.0000 0.0000
C 0.0000 0.5000 0.5000


For Hf4PdC2, DFT lattice parameters and positions (PBE) gives the calculated X-ray powder pattern in this record (copper Kα).
Neutral-atom scattering factors, no anomalous dispersion.

Principal peaks in the range 2θ from 10° to 80°, by angle:
- 2θ 31.79, 2.815 Å, I = 33
- 2θ 34.04, 2.634 Å, I = 98
- 2θ 35.39, 2.536 Å, I = 35
- 2θ 36.08, 2.490 Å, I = 100
- 2θ 36.93, 2.434 Å, I = 97
- 2θ 39.26, 2.295 Å, I = 31
- 2θ 54.30, 1.689 Å, I = 19
- 2θ 54.47, 1.685 Å, I = 21
- 2θ 55.15, 1.665 Å, I = 23
- 2θ 66.46, 1.407 Å, I = 56

Structure:
Lattice parameters (Å, degrees): 5.8456 5.8456 11.9347 90.00 90.00 146.89
Sites, in units of the cell vectors:
Hf 0.0000 0.0000 0.0000
Hf 0.0000 0.0000 0.5000
Hf 0.2650 0.7350 0.6069
Hf 0.2650 0.7350 0.8931
Hf 0.4264 0.5736 0.2500
Hf 0.5736 0.4264 0.7500
Hf 0.7350 0.2650 0.1069
Hf 0.7350 0.2650 0.3931
Pd 0.1104 0.8896 0.2500
Pd 0.8896 0.1104 0.7500
C 0.3645 0.6355 0.0592
C 0.3645 0.6355 0.4408
C 0.6355 0.3645 0.5592
C 0.6355 0.3645 0.9408